Starting from DFT lattice parameters and positions (PBE+U), the XRD peak list of PuFe2PdO6 was computed for a wavelength of 1.5418 Å.

The 10 most intense peaks (5 to 70 degrees two-theta), low angle first:
(1 1 0), 18.2°, I 29; (2 0 0), 18.3°, I 36; (2 0 -1), 20.5°, I 25; (1 1 -1), 23.7°, I 52; (1 1 1), 29.3°, I 100; (3 1 -1), 31.0°, I 66; (0 2 0), 31.8°, I 39; (4 0 0), 37.2°, I 19; (2 2 -2), 48.6°, I 18; (4 2 0), 49.7°, I 26

Structure:
Cell lengths 10.5894, 5.6309, 5.0345 Å; angles 90.00, 114.03, 90.00 degrees
Space group C2/m (No. 12)
Unique sites:
Pu  0.0000  0.0000  0.0000
Fe  0.2429  0.0000  0.6302
Pd  0.0000  0.5000  0.5000
O  0.1033  0.2624  0.3556
O  0.1626  0.0000  0.9324